This entry pairs a crystal structure of IrOsO4 with its computed powder diffractogram. Radiation: λ = 1.5418 Å (Cu Kα). Structure: the GGA-PBE geometry in OQMD.

Most intense lines, 10 to 90 degrees two-theta, sorted by position:
two_theta, I_rel, hkl
27.99, 52, 0 2 0
28.21, 50, 2 0 0
34.42, 100, 1 1 1
40.16, 30, 2 2 0
53.77, 36, 1 3 1
54.04, 35, 3 1 1
65.27, 10, 0 2 2
65.39, 9, 2 0 2
69.30, 19, 3 3 1
72.57, 11, 2 2 2

Crystal structure
Lattice parameters (Å, degrees): 6.326 6.376 3.198 90.00 90.00 90.00
Sites, in units of the cell vectors:
1 Ir 0.000 0.000 0.000
2 Ir 0.500 0.500 0.000
3 Os 0.000 0.500 0.500
4 Os 0.500 0.000 0.500
5 O 0.000 0.312 0.000
6 O 0.000 0.688 0.000
7 O 0.195 0.000 0.500
8 O 0.305 0.500 0.500
9 O 0.500 0.188 0.000
10 O 0.500 0.812 0.000
11 O 0.695 0.500 0.500
12 O 0.805 0.000 0.500